TiSb3P6O24: computed X-ray diffraction stick pattern (Cu Ka), based on a crystal structure in Alexandria, relaxed with PBE.
Neutral-atom scattering factors, no anomalous dispersion.

Cell and atoms:
```
data_TiSb3P6O24
_space_group_name_H-M_alt 'P 1'
_space_group_IT_number 1
_space_group_name_Hall 'P 1'
_cell_length_a 9.0923
_cell_length_b 9.0923
_cell_length_c 9.0923
_cell_angle_alpha 55.55
_cell_angle_beta 55.55
_cell_angle_gamma 55.55
loop_
_atom_site_label
_atom_site_type_symbol
_atom_site_fract_x
_atom_site_fract_y
_atom_site_fract_z
Ti1 Ti 0.0000 0.0000 0.0000
Sb1 Sb 0.2857 0.2857 0.2857
Sb2 Sb 0.4937 0.4937 0.4937
Sb3 Sb 0.7954 0.7954 0.7954
P1 P 0.1058 0.6836 0.3934
P2 P 0.1845 0.6090 0.8863
P3 P 0.3934 0.1058 0.6836
P4 P 0.6090 0.8863 0.1845
P5 P 0.6836 0.3934 0.1058
P6 P 0.8863 0.1845 0.6090
O1 O 0.0162 0.2697 0.4062
O2 O 0.0398 0.8711 0.2385
O3 O 0.1205 0.5152 0.3800
O4 O 0.1472 0.7673 0.9324
O5 O 0.2385 0.0398 0.8711
O6 O 0.2697 0.4062 0.0162
O7 O 0.3024 0.6660 0.3637
O8 O 0.3248 0.6362 0.6729
O9 O 0.3637 0.3024 0.6660
O10 O 0.3800 0.1205 0.5152
O11 O 0.4062 0.0162 0.2697
O12 O 0.5152 0.3800 0.1205
O13 O 0.5981 0.9586 0.6785
O14 O 0.6189 0.9156 0.9923
O15 O 0.6362 0.6729 0.3248
O16 O 0.6660 0.3637 0.3024
O17 O 0.6729 0.3248 0.6362
O18 O 0.6785 0.5981 0.9586
O19 O 0.7673 0.9324 0.1472
O20 O 0.8711 0.2385 0.0398
O21 O 0.9156 0.9923 0.6189
O22 O 0.9324 0.1472 0.7673
O23 O 0.9586 0.6785 0.5981
O24 O 0.9923 0.6189 0.9156
```

The 10 most intense peaks (10 to 90 degrees two-theta), in order of rising 2θ:
2theta, Rel. int.
14.3, 68
19.6, 100
21.0, 66
24.0, 64
28.9, 63
31.5, 71
36.0, 25
36.7, 29
49.1, 21
51.6, 26



TiSbP3O12: computed X-ray diffraction stick pattern (Cu Ka), based on a crystal structure in Alexandria, relaxed with PBE.
Neutral-atom scattering factors, no anomalous dispersion.

Cell and atoms:
```
data_TiSbP3O12
_space_group_name_H-M_alt 'P 1'
_space_group_IT_number 1
_space_group_name_Hall 'P 1'
_cell_length_a 8.9151
_cell_length_b 8.9151
_cell_length_c 8.9151
_cell_angle_alpha 57.76
_cell_angle_beta 57.76
_cell_angle_gamma 57.76
loop_
_atom_site_label
_atom_site_type_symbol
_atom_site_fract_x
_atom_site_fract_y
_atom_site_fract_z
Ti1 Ti 0.0000 0.0000 0.0000
Ti2 Ti 0.5000 0.5000 0.5000
Sb1 Sb 0.2865 0.2865 0.2865
Sb2 Sb 0.7865 0.7865 0.7865
P1 P 0.1058 0.3949 0.6760
P2 P 0.1760 0.8949 0.6058
P3 P 0.3949 0.6760 0.1058
P4 P 0.6058 0.1760 0.8949
P5 P 0.6760 0.1058 0.3949
P6 P 0.8949 0.6058 0.1760
O1 O 0.0698 0.4227 0.2007
O2 O 0.0762 0.2188 0.8493
O3 O 0.1210 0.3827 0.4992
O4 O 0.1429 0.9213 0.7772
O5 O 0.2007 0.0698 0.4227
O6 O 0.2188 0.8493 0.0762
O7 O 0.2772 0.4213 0.6429
O8 O 0.3493 0.7188 0.5762
O9 O 0.3827 0.4992 0.1210
O10 O 0.4213 0.6429 0.2772
O11 O 0.4227 0.2007 0.0698
O12 O 0.4992 0.1210 0.3827
O13 O 0.5698 0.7007 0.9227
O14 O 0.5762 0.3493 0.7188
O15 O 0.6210 0.9992 0.8827
O16 O 0.6429 0.2772 0.4213
O17 O 0.7007 0.9227 0.5698
O18 O 0.7188 0.5762 0.3493
O19 O 0.7772 0.1429 0.9213
O20 O 0.8493 0.0762 0.2188
O21 O 0.8827 0.6210 0.9992
O22 O 0.9213 0.7772 0.1429
O23 O 0.9227 0.5698 0.7007
O24 O 0.9992 0.8827 0.6210
```

The 10 most intense peaks (10 to 90 degrees two-theta), in order of rising 2θ:
2theta, Rel. int.
14.3, 94
19.9, 100
20.6, 62
23.9, 82
28.8, 71
31.9, 57
35.7, 24
36.1, 24
48.9, 20
52.5, 23



Copy entry 2 word for word.
TiSbP3O12: computed X-ray diffraction stick pattern (Cu Ka), based on a crystal structure in Alexandria, relaxed with PBE.
Neutral-atom scattering factors, no anomalous dispersion.

Cell and atoms:
```
data_TiSbP3O12
_space_group_name_H-M_alt 'P 1'
_space_group_IT_number 1
_space_group_name_Hall 'P 1'
_cell_length_a 8.9151
_cell_length_b 8.9151
_cell_length_c 8.9151
_cell_angle_alpha 57.76
_cell_angle_beta 57.76
_cell_angle_gamma 57.76
loop_
_atom_site_label
_atom_site_type_symbol
_atom_site_fract_x
_atom_site_fract_y
_atom_site_fract_z
Ti1 Ti 0.0000 0.0000 0.0000
Ti2 Ti 0.5000 0.5000 0.5000
Sb1 Sb 0.2865 0.2865 0.2865
Sb2 Sb 0.7865 0.7865 0.7865
P1 P 0.1058 0.3949 0.6760
P2 P 0.1760 0.8949 0.6058
P3 P 0.3949 0.6760 0.1058
P4 P 0.6058 0.1760 0.8949
P5 P 0.6760 0.1058 0.3949
P6 P 0.8949 0.6058 0.1760
O1 O 0.0698 0.4227 0.2007
O2 O 0.0762 0.2188 0.8493
O3 O 0.1210 0.3827 0.4992
O4 O 0.1429 0.9213 0.7772
O5 O 0.2007 0.0698 0.4227
O6 O 0.2188 0.8493 0.0762
O7 O 0.2772 0.4213 0.6429
O8 O 0.3493 0.7188 0.5762
O9 O 0.3827 0.4992 0.1210
O10 O 0.4213 0.6429 0.2772
O11 O 0.4227 0.2007 0.0698
O12 O 0.4992 0.1210 0.3827
O13 O 0.5698 0.7007 0.9227
O14 O 0.5762 0.3493 0.7188
O15 O 0.6210 0.9992 0.8827
O16 O 0.6429 0.2772 0.4213
O17 O 0.7007 0.9227 0.5698
O18 O 0.7188 0.5762 0.3493
O19 O 0.7772 0.1429 0.9213
O20 O 0.8493 0.0762 0.2188
O21 O 0.8827 0.6210 0.9992
O22 O 0.9213 0.7772 0.1429
O23 O 0.9227 0.5698 0.7007
O24 O 0.9992 0.8827 0.6210
```

The 10 most intense peaks (10 to 90 degrees two-theta), in order of rising 2θ:
2theta, Rel. int.
14.3, 94
19.9, 100
20.6, 62
23.9, 82
28.8, 71
31.9, 57
35.7, 24
36.1, 24
48.9, 20
52.5, 23